[1]
Theoretical powder diffractogram of TlBH2Cl for Cu Ka, from a PBE-relaxed structure.
Kinematic intensities with the Lorentz-polarization factor, no thermal factor.

Cell and atoms:
Cell lengths 3.788, 3.788, 4.947 Å; angles 90.00, 90.00, 90.00 degrees
Sites, in units of the cell vectors:
Tl (0.000, 0.000, 0.000)
B (0.000, 0.000, 0.500)
H (0.000, 0.500, 0.000)
H (0.500, 0.000, 0.000)
Cl (0.500, 0.500, 0.500)

Most intense lines, 15 to 90 degrees two-theta, by angle:
2θ 17.93, I 38.1
2θ 23.49, I 50.3
2θ 29.71, I 100.0
2θ 33.46, I 41.1
2θ 36.32, I 17.2
2θ 38.21, I 23.7
2θ 43.71, I 20.5
2θ 48.04, I 15.3
2θ 50.21, I 25.9
2θ 57.51, I 31.2

=====

[2]
Theoretical powder diffractogram of Hf2BCl2 for Cu Ka, from a PBE-relaxed structure.
Kinematic intensities with the Lorentz-polarization factor, no thermal factor.

Cell and atoms:
Cell lengths 3.479, 3.479, 29.737 Å; angles 90.00, 90.00, 120.00 degrees
Sites, in units of the cell vectors:
Hf (0.000, 0.000, 0.125)
Hf (0.000, 0.000, 0.875)
Hf (0.333, 0.667, 0.542)
Hf (0.333, 0.667, 0.791)
Hf (0.667, 0.333, 0.209)
Hf (0.667, 0.333, 0.458)
B (0.000, 0.000, 0.500)
B (0.333, 0.667, 0.167)
B (0.667, 0.333, 0.833)
Cl (0.000, 0.000, 0.267)
Cl (0.000, 0.000, 0.733)
Cl (0.333, 0.667, 0.399)
Cl (0.333, 0.667, 0.934)
Cl (0.667, 0.333, 0.066)
Cl (0.667, 0.333, 0.601)

Most intense lines, 15 to 90 degrees two-theta, by angle:
2θ 29.81, I 64.9
2θ 32.06, I 76.5
2θ 33.34, I 78.7
2θ 36.25, I 25.2
2θ 36.57, I 57.5
2θ 38.46, I 100.0
2θ 50.07, I 30.6
2θ 52.62, I 44.8
2θ 53.49, I 26.0
2θ 65.58, I 27.9

=====

[3]
Theoretical powder diffractogram of Ho3BCl3 for Cu Ka, from a PBE-relaxed structure.
Kinematic intensities with the Lorentz-polarization factor, no thermal factor.

Cell and atoms:
Cell lengths 9.408, 9.408, 9.408 Å; angles 109.47, 109.47, 109.47 degrees
Sites, in units of the cell vectors:
Ho (0.016, 0.032, 0.266)
Ho (0.016, 0.484, 0.750)
Ho (0.032, 0.266, 0.016)
Ho (0.234, 0.266, 0.750)
Ho (0.234, 0.468, 0.484)
Ho (0.266, 0.016, 0.032)
Ho (0.266, 0.750, 0.234)
Ho (0.468, 0.484, 0.234)
Ho (0.484, 0.234, 0.468)
Ho (0.484, 0.750, 0.016)
Ho (0.750, 0.016, 0.484)
Ho (0.750, 0.234, 0.266)
B (0.000, 0.250, 0.500)
B (0.250, 0.250, 0.250)
B (0.250, 0.500, 0.000)
B (0.500, 0.000, 0.250)
Cl (0.250, 0.755, 0.745)
Cl (0.250, 0.995, 0.505)
Cl (0.505, 0.250, 0.995)
Cl (0.505, 0.755, 0.510)
Cl (0.510, 0.505, 0.755)
Cl (0.745, 0.250, 0.755)
Cl (0.745, 0.995, 0.990)
Cl (0.755, 0.510, 0.505)
Cl (0.755, 0.745, 0.250)
Cl (0.990, 0.745, 0.995)
Cl (0.995, 0.505, 0.250)
Cl (0.995, 0.990, 0.745)

Most intense lines, 15 to 90 degrees two-theta, by angle:
2θ 28.46, I 71.2
2θ 30.80, I 47.7
2θ 32.98, I 100.0
2θ 38.89, I 26.1
2θ 47.34, I 64.7
2θ 56.16, I 26.6
2θ 58.90, I 20.2
2θ 62.87, I 19.6
2θ 67.94, I 15.9
2θ 78.80, I 21.3

=====

[4]
Theoretical powder diffractogram of BICl3 for Cu Ka, from a PBE-relaxed structure.
Kinematic intensities with the Lorentz-polarization factor, no thermal factor.

Cell and atoms:
Cell lengths 5.794, 6.603, 10.332 Å; angles 89.96, 86.24, 89.80 degrees
Sites, in units of the cell vectors:
B (0.000, 0.000, 0.000)
B (0.441, 0.500, 0.420)
I (0.073, 0.362, 0.548)
I (0.369, 0.862, 0.871)
Cl (0.444, 0.765, 0.434)
Cl (0.463, 0.386, 0.266)
Cl (0.573, 0.356, 0.552)
Cl (0.869, 0.857, 0.867)
Cl (0.978, 0.886, 0.153)
Cl (0.995, 0.265, 0.985)

Most intense lines, 15 to 90 degrees two-theta, by angle:
2θ 15.94, I 100.0
2θ 21.78, I 34.4
2θ 21.87, I 47.0
2θ 22.34, I 23.3
2θ 25.93, I 22.1
2θ 27.01, I 35.9
2θ 27.48, I 27.4
2θ 33.85, I 22.7
2θ 37.46, I 20.2
2θ 37.79, I 19.4